The following is a computed X-ray diffraction stick pattern of Sm4Se4Br3. It was derived from a structure optimized by DFT (GGA-PBE), using a wavelength of 1.5418 Å.
Kinematic intensities with the Lorentz-polarization factor, no thermal factor.

Structure:
```
data_Sm4Se4Br3
_chemical_formula_sum 'Sm8 Se8 Br6'
_cell_length_a 4.2018
_cell_length_b 8.2923
_cell_length_c 17.2446
_cell_angle_alpha 90.00
_cell_angle_beta 90.00
_cell_angle_gamma 90.00
_symmetry_space_group_name_H-M 'I m m m'
_symmetry_Int_Tables_number 71
_symmetry_space_group_name_Hall '-I 2 2'
loop_
_atom_site_label
_atom_site_type_symbol
_atom_site_fract_x
_atom_site_fract_y
_atom_site_fract_z
Sm1 Sm 0.0000 0.0000 0.2309
Sm2 Sm 0.0000 0.2175 0.5000
Se1 Se 0.0000 0.2913 0.3345
Br1 Br 0.0000 0.0000 0.0000
Br2 Br 0.0000 0.5000 0.0891
```

Peak list (8 most intense, 10 to 90 degrees two-theta, in order of rising 2θ)
2θ (°), d/Å, intensity, h k l
30.7, 2.909, 1000, 1 2 1
31.6, 2.829, 627, 1 1 4
38.1, 2.362, 452, 0 2 6
40.2, 2.242, 267, 1 2 5
40.4, 2.231, 330, 1 3 2
42.5, 2.125, 241, 1 0 7
43.1, 2.101, 295, 2 0 0
58.8, 1.570, 252, 2 2 6


The following is a computed X-ray diffraction stick pattern of Sm2SeBr3. It was derived from a structure optimized by DFT (GGA-PBE), using a wavelength of 1.5418 Å.
Kinematic intensities with the Lorentz-polarization factor, no thermal factor.

Structure:
```
data_Sm2SeBr3
_chemical_formula_sum 'Sm8 Se4 Br12'
_cell_length_a 17.2261
_cell_length_b 4.3445
_cell_length_c 12.7520
_cell_angle_alpha 90.00
_cell_angle_beta 123.56
_cell_angle_gamma 90.00
_symmetry_space_group_name_H-M 'C 1 2/m 1'
_symmetry_Int_Tables_number 12
_symmetry_space_group_name_Hall '-C 2y'
loop_
_atom_site_label
_atom_site_type_symbol
_atom_site_fract_x
_atom_site_fract_y
_atom_site_fract_z
Sm1 Sm 0.1012 0.0000 0.4433
Sm2 Sm 0.1291 0.5000 0.8344
Se1 Se 0.1039 0.0000 0.6772
Br1 Br 0.0634 0.5000 0.2536
Br2 Br 0.1635 0.0000 0.0251
Br3 Br 0.2328 0.5000 0.6002
```

Peak list (8 most intense, 10 to 90 degrees two-theta, in order of rising 2θ)
2θ (°), d/Å, intensity, h k l
14.2, 6.221, 1000, 2 0 -2
24.2, 3.678, 748, 1 1 1
24.8, 3.589, 560, 4 0 0
25.0, 3.563, 622, 1 1 -2
30.4, 2.939, 976, 1 1 -3
34.9, 2.570, 854, 3 1 -4
41.6, 2.172, 556, 0 2 0
43.3, 2.088, 792, 7 1 -4


The following is a computed X-ray diffraction stick pattern of Sn4Se5Br. It was derived from a structure optimized by DFT (GGA-PBE), using a wavelength of 1.5418 Å.
Kinematic intensities with the Lorentz-polarization factor, no thermal factor.

Structure:
```
data_Sn4Se5Br
_chemical_formula_sum 'Sn8 Se10 Br2'
_cell_length_a 8.6255
_cell_length_b 15.8937
_cell_length_c 4.3250
_cell_angle_alpha 90.00
_cell_angle_beta 90.00
_cell_angle_gamma 90.00
_symmetry_space_group_name_H-M 'P m m n'
_symmetry_Int_Tables_number 59
loop_
_symmetry_equiv_pos_as_xyz
'x,y,z'
'-x,-y,-z'
'-x+1/2,-y+1/2,z'
'x+1/2,y+1/2,-z'
'x+1/2,-y,-z'
'-x+1/2,y,z'
'-x,y+1/2,-z'
'x,-y+1/2,z'
loop_
_atom_site_label
_atom_site_type_symbol
_atom_site_fract_x
_atom_site_fract_y
_atom_site_fract_z
Sn1 Sn 0.0102 0.2500 0.0421
Sn2 Sn 0.2500 0.0533 0.6143
Se1 Se 0.0072 0.0827 0.0926
Se2 Se 0.2500 0.2500 0.5979
Br1 Br 0.2500 0.7500 0.3918
```

Peak list (8 most intense, 10 to 90 degrees two-theta, in order of rising 2θ)
2θ (°), d/Å, intensity, h k l
19.7, 4.514, 169, 1 3 0
29.2, 3.054, 1000, 2 0 1
29.8, 2.999, 262, 2 1 1
33.8, 2.649, 401, 0 6 0
41.0, 2.202, 206, 2 5 1
41.9, 2.156, 262, 4 0 0
45.3, 2.001, 477, 2 6 1
54.9, 1.672, 172, 4 6 0


The following is a computed X-ray diffraction stick pattern of Sn4Se2Br5. It was derived from a structure optimized by DFT (GGA-PBE), using a wavelength of 1.5418 Å.
Kinematic intensities with the Lorentz-polarization factor, no thermal factor.

Structure:
```
data_Sn4Se2Br5
_chemical_formula_sum 'Sn4 Se2 Br5'
_cell_length_a 4.2775
_cell_length_b 9.5836
_cell_length_c 11.1331
_cell_angle_alpha 85.61
_cell_angle_beta 89.99
_cell_angle_gamma 77.11
_symmetry_space_group_name_H-M 'P -1'
_symmetry_Int_Tables_number 2
_symmetry_space_group_name_Hall '-P 1'
loop_
_atom_site_label
_atom_site_type_symbol
_atom_site_fract_x
_atom_site_fract_y
_atom_site_fract_z
Sn1 Sn 0.0188 0.4609 0.2921
Sn2 Sn 0.3592 0.7820 0.0452
Se1 Se 0.4783 0.5443 0.8722
Br1 Br 0.1290 0.2424 0.7444
Br2 Br 0.2005 0.0987 0.1218
Br3 Br 0.5000 0.5000 0.5000
```

Peak list (8 most intense, 10 to 90 degrees two-theta, in order of rising 2θ)
2θ (°), d/Å, intensity, h k l
11.9, 7.427, 372, 0 1 1
27.0, 3.306, 1000, 1 0 2
29.3, 3.052, 320, 0 3 1
32.1, 2.792, 390, 1 0 -3
34.4, 2.609, 355, -1 1 3
36.0, 2.496, 244, 1 2 -3
41.5, 2.176, 269, 1 3 -3
42.2, 2.141, 540, 2 1 0